Diffraction record for Li3Fe4WO8. The powder diffractogram is simulated, not measured: it uses a crystal structure in Alexandria, relaxed with PBE+U and copper Kα.
Lines closer than 0.1° are merged.

Top 8 peaks for 10° ≤ 2θ ≤ 80°, low angle first:
2θ 17.64, I = 78.4, (1 1 0); 2θ 17.75, I = 100.0, (2 0 -1); 2θ 21.01, I = 23.3, (2 0 0); 2θ 33.66, I = 51.1, (0 2 1); 2θ 35.71, I = 36.2, (2 2 0); 2θ 40.80, I = 84.0, (2 2 -2); 2θ 42.78, I = 36.4, (4 0 0); 2θ 59.06, I = 25.0, (0 4 0)

Crystal structure
```
data_Li3Fe4WO8
_cell_length_a 10.450
_cell_length_b 6.255
_cell_length_c 6.258
_cell_angle_alpha 90.00
_cell_angle_beta 125.99
_cell_angle_gamma 90.00
_symmetry_space_group_name_H-M 'C 1 2/m 1'
_symmetry_Int_Tables_number 12
loop_
_symmetry_equiv_pos_as_xyz
'x,y,z'
'-x,-y,-z'
'-x,y,-z'
'x,-y,z'
'x+1/2,y+1/2,z'
'-x+1/2,-y+1/2,-z'
'-x+1/2,y+1/2,-z'
'x+1/2,-y+1/2,z'
loop_
_atom_site_label
_atom_site_type_symbol
_atom_site_fract_x
_atom_site_fract_y
_atom_site_fract_z
Li1 Li 0.000 0.000 0.000
Li2 Li 0.250 0.250 0.500
Fe1 Fe 0.000 0.000 0.500
Fe2 Fe 0.000 0.500 0.000
Fe3 Fe 0.250 0.250 0.000
W1 W 0.000 0.500 0.500
O1 O 0.007 0.266 0.273
O2 O 0.233 0.500 0.727
O3 O 0.250 0.000 0.778
```